Structure and theoretical powder diffractogram of Zr5BiSb (a DFT-relaxed cell (GGA-PBE, Alexandria); Cu Kα (λ = 1.5418 Å)).
Neutral-atom scattering factors, no anomalous dispersion.

Main lines, low angle first (2θ = 15–90°):
2theta, I/Imax
25.45, 28
32.26, 54
32.53, 39
33.27, 100
34.68, 82
36.10, 16
36.23, 52
37.13, 36
39.83, 44
41.82, 30

Atomic structure:
a b c (Å): 7.645 7.935 11.506
angles (deg): 90.00 106.64 90.00
Space group C2/c (No. 15)
Unique sites:
Zr: 0.000 0.041 0.250
Zr: 0.142 0.369 0.565
Zr: 0.217 0.258 0.865
Bi: 0.000 0.422 0.250
Sb: 0.000 0.000 0.000


Structure and theoretical powder diffractogram of Sc3Bi2Se (a DFT-relaxed cell (GGA-PBE, Alexandria); Cu Kα (λ = 1.5418 Å)).
Neutral-atom scattering factors, no anomalous dispersion.

Main lines, low angle first (2θ = 15–90°):
2theta, I/Imax
26.27, 17
26.44, 46
30.57, 100
43.68, 37
43.84, 25
43.97, 12
51.84, 14
54.49, 13
63.64, 12
72.06, 11

Atomic structure:
a b c (Å): 7.160 12.355 7.190
angles (deg): 90.00 109.33 90.00
Space group C2/m (No. 12)
Unique sites:
Sc: 0.224 0.000 0.225
Sc: 0.246 0.175 0.761
Bi: 0.000 0.000 0.500
Bi: 0.000 0.342 0.500
Bi: 0.000 0.500 0.000
Se: 0.000 0.169 0.000


Structure and theoretical powder diffractogram of Sc2Si2Bi (a DFT-relaxed cell (GGA-PBE, Alexandria); Cu Kα (λ = 1.5418 Å)).
Neutral-atom scattering factors, no anomalous dispersion.

Main lines, low angle first (2θ = 15–90°):
2theta, I/Imax
22.50, 22
25.03, 43
29.77, 100
34.75, 28
36.62, 64
37.63, 64
49.43, 21
49.96, 22
59.25, 29
64.20, 27

Atomic structure:
a b c (Å): 3.651 3.651 15.809
angles (deg): 90.00 90.00 90.00
Space group I4/mmm (No. 139)
Unique sites:
Sc: 0.000 0.000 0.117
Si: 0.000 0.500 0.250
Bi: 0.000 0.000 0.500


Structure and theoretical powder diffractogram of Sm5Sc3Bi8 (a DFT-relaxed cell (GGA-PBE, Alexandria); Cu Kα (λ = 1.5418 Å)).
Neutral-atom scattering factors, no anomalous dispersion.

Main lines, low angle first (2θ = 15–90°):
2theta, I/Imax
24.47, 16
28.33, 100
30.94, 5
40.50, 77
47.89, 9
50.16, 27
58.61, 13
66.36, 35
73.64, 20
73.73, 6

Atomic structure:
a b c (Å): 8.9136 8.9136 21.8040
angles (deg): 90.00 90.00 120.00
Space group R-3m (No. 166, hexagonal axes)
Unique sites:
Sm: 0.0000 0.0000 0.0000
Sm: 0.0000 0.0000 0.5000
Sm: 0.0000 0.5000 0.0000
Sc: 0.0000 0.5000 0.5000
Bi: 0.0000 0.0000 0.2434
Bi: 0.0088 0.5044 0.7544


Structure and theoretical powder diffractogram of SmScBi2 (a DFT-relaxed cell (GGA-PBE, Alexandria); Cu Kα (λ = 1.5418 Å)).
Neutral-atom scattering factors, no anomalous dispersion.

Main lines, low angle first (2θ = 15–90°):
2theta, I/Imax
26.27, 100
33.64, 61
41.04, 40
43.48, 21
49.39, 19
54.07, 16
65.66, 17
66.10, 16
70.06, 15
76.46, 8

Atomic structure:
a b c (Å): 4.3984 4.3984 7.4559
angles (deg): 90.00 90.00 120.00
Space group P-3m1 (No. 164)
Unique sites:
Sm: 0.0000 0.0000 0.0000
Sc: 0.0000 0.0000 0.5000
Bi: 0.3333 0.6667 0.7296


Structure and theoretical powder diffractogram of Sm5Sc2Bi5 (a DFT-relaxed cell (GGA-PBE, Alexandria); Cu Kα (λ = 1.5418 Å)).
Neutral-atom scattering factors, no anomalous dispersion.

Main lines, low angle first (2θ = 15–90°):
2theta, I/Imax
23.61, 61
26.96, 81
28.04, 100
30.54, 42
31.05, 85
35.06, 50
38.78, 35
39.75, 46
40.36, 48
57.93, 31

Atomic structure:
a b c (Å): 14.749 4.470 12.706
angles (deg): 90.00 112.89 90.00
Space group C2/m (No. 12)
Unique sites:
Sm: 0.000 0.000 0.000
Sm: 0.164 0.000 0.533
Sm: 0.224 0.000 0.844
Sc: 0.057 0.500 0.299
Bi: 0.000 0.500 0.500
Bi: 0.110 0.500 0.916
Bi: 0.185 0.000 0.280


Structure and theoretical powder diffractogram of Sc4SnBi2 (a DFT-relaxed cell (GGA-PBE, Alexandria); Cu Kα (λ = 1.5418 Å)).
Neutral-atom scattering factors, no anomalous dispersion.

Main lines, low angle first (2θ = 15–90°):
2theta, I/Imax
23.65, 100
27.25, 59
27.62, 62
31.28, 70
36.39, 72
38.92, 51
41.96, 27
48.39, 40
49.07, 36
50.76, 23

Atomic structure:
a b c (Å): 9.018 13.074 13.105
angles (deg): 90.00 90.00 90.00
Space group Fddd (No. 70, origin choice 2)
Unique sites:
Sc: 0.070 0.280 0.469
Sn: 0.125 0.125 0.625
Bi: 0.000 0.000 0.000


Structure and theoretical powder diffractogram of Sr4Th3ScBi8 (a DFT-relaxed cell (GGA-PBE, Alexandria); Cu Kα (λ = 1.5418 Å)).
Neutral-atom scattering factors, no anomalous dispersion.

Main lines, low angle first (2θ = 15–90°):
2theta, I/Imax
26.88, 100
38.02, 38
38.74, 39
47.78, 21
55.40, 13
62.13, 17
63.13, 19
69.65, 13
70.12, 7
89.32, 8

Atomic structure:
a b c (Å): 9.2976 9.2976 23.4039
angles (deg): 90.00 90.00 120.00
Space group R-3m (No. 166, hexagonal axes)
Unique sites:
Sr: 0.0000 0.0000 0.0000
Sr: 0.0000 0.5000 0.0000
Th: 0.0000 0.5000 0.5000
Sc: 0.0000 0.0000 0.5000
Bi: 0.0000 0.0000 0.2447
Bi: 0.0111 0.5055 0.2419


Structure and theoretical powder diffractogram of Tb4ScBi5 (a DFT-relaxed cell (GGA-PBE, Alexandria); Cu Kα (λ = 1.5418 Å)).
Neutral-atom scattering factors, no anomalous dispersion.

Main lines, low angle first (2θ = 15–90°):
2theta, I/Imax
24.48, 9
28.34, 100
40.52, 78
50.18, 28
58.70, 9
66.29, 12
66.44, 24
73.62, 9
73.74, 18
87.61, 6

Atomic structure:
a b c (Å): 9.948 9.948 6.309
angles (deg): 90.00 90.00 90.00
Space group I4/m (No. 87)
Unique sites:
Tb: 0.096 0.301 0.000
Sc: 0.000 0.000 0.500
Bi: 0.000 0.000 0.000
Bi: 0.099 0.291 0.500


Structure and theoretical powder diffractogram of Tb8ScBi6 (a DFT-relaxed cell (GGA-PBE, Alexandria); Cu Kα (λ = 1.5418 Å)).
Neutral-atom scattering factors, no anomalous dispersion.

Main lines, low angle first (2θ = 15–90°):
2theta, I/Imax
23.82, 19
27.37, 27
31.62, 100
32.68, 40
37.75, 29
41.67, 17
41.90, 16
45.13, 14
53.94, 19
70.11, 16

Atomic structure:
a b c (Å): 11.4100 11.4100 4.3346
angles (deg): 90.00 90.00 120.00
Space group P-3 (No. 147)
Unique sites:
Tb: 0.0432 0.7447 0.2614
Tb: 0.3333 0.6667 0.7389
Sc: 0.0000 0.0000 0.0000
Bi: 0.1164 0.4782 0.2399


Structure and theoretical powder diffractogram of Tb3ScBi2 (a DFT-relaxed cell (GGA-PBE, Alexandria); Cu Kα (λ = 1.5418 Å)).
Neutral-atom scattering factors, no anomalous dispersion.

Main lines, low angle first (2θ = 15–90°):
2theta, I/Imax
28.01, 50
29.93, 63
31.37, 35
35.13, 100
37.32, 35
40.03, 61
51.72, 34
55.88, 22
57.90, 21
69.55, 28

Atomic structure:
a b c (Å): 4.505 4.505 8.554
angles (deg): 90.00 90.00 90.00
Space group P-4m2 (No. 115)
Unique sites:
Tb: 0.000 0.000 0.000
Tb: 0.000 0.500 0.654
Sc: 0.500 0.500 0.000
Bi: 0.000 0.500 0.277


Structure and theoretical powder diffractogram of TbScBiTe (a DFT-relaxed cell (GGA-PBE, Alexandria); Cu Kα (λ = 1.5418 Å)).
Neutral-atom scattering factors, no anomalous dispersion.

Main lines, low angle first (2θ = 15–90°):
2theta, I/Imax
24.09, 12
25.20, 11
29.18, 100
31.88, 10
41.74, 75
51.70, 20
60.51, 12
68.50, 18
68.64, 16
76.15, 19

Atomic structure:
a b c (Å): 4.3328 4.3328 21.1552
angles (deg): 90.00 90.00 120.00
Space group R3m (No. 160, hexagonal axes)
Unique sites:
Tb: 0.0000 0.0000 0.0000
Sc: 0.0000 0.0000 0.5004
Bi: 0.0000 0.0000 0.2448
Te: 0.0000 0.0000 0.7553


Structure and theoretical powder diffractogram of ZrSc2TcBi (a DFT-relaxed cell (GGA-PBE, Alexandria); Cu Kα (λ = 1.5418 Å)).
Neutral-atom scattering factors, no anomalous dispersion.

Main lines, low angle first (2θ = 15–90°):
2theta, I/Imax
16.77, 89
23.44, 95
23.80, 98
32.86, 54
33.91, 100
40.98, 48
41.64, 44
47.94, 74
48.72, 35
60.01, 38

Atomic structure:
a b c (Å): 5.287 5.287 5.452
angles (deg): 90.00 90.00 90.00
Space group P4/mmm (No. 123)
Unique sites:
Zr: 0.000 0.000 0.000
Sc: 0.000 0.500 0.500
Tc: 0.500 0.500 0.000
Bi: 0.000 0.000 0.500


Structure and theoretical powder diffractogram of Sc3BiTe2 (a DFT-relaxed cell (GGA-PBE, Alexandria); Cu Kα (λ = 1.5418 Å)).
Neutral-atom scattering factors, no anomalous dispersion.

Main lines, low angle first (2θ = 15–90°):
2theta, I/Imax
25.99, 55
30.10, 100
43.07, 62
43.15, 12
51.01, 29
53.45, 26
62.57, 12
70.98, 22
78.93, 12
79.06, 12

Atomic structure:
a b c (Å): 4.193 5.940 12.611
angles (deg): 90.00 90.00 90.00
Space group Immm (No. 71)
Unique sites:
Sc: 0.000 0.000 0.000
Sc: 0.000 0.000 0.332
Bi: 0.000 0.500 0.000
Te: 0.000 0.500 0.334